Record 1
Starting from a structure optimized by DFT (PBE), the X-ray diffraction stick pattern of La3Rh4Pb13 was computed for CuKα.

Atomic structure:
Lattice parameters (Å, degrees): 10.2098 10.2098 10.2098 90.00 90.00 90.00
Positions (direct):
La 0.0000 0.2500 0.5000
La 0.0000 0.7500 0.5000
La 0.2500 0.5000 0.0000
La 0.5000 0.0000 0.2500
La 0.5000 0.0000 0.7500
La 0.7500 0.5000 0.0000
Rh 0.2500 0.2500 0.2500
Rh 0.2500 0.2500 0.7500
Rh 0.2500 0.7500 0.2500
Rh 0.2500 0.7500 0.7500
Rh 0.7500 0.2500 0.2500
Rh 0.7500 0.2500 0.7500
Rh 0.7500 0.7500 0.2500
Rh 0.7500 0.7500 0.7500
Pb 0.0000 0.0000 0.0000
Pb 0.0000 0.3078 0.1549
Pb 0.0000 0.3078 0.8451
Pb 0.0000 0.6922 0.1549
Pb 0.0000 0.6922 0.8451
Pb 0.1549 0.0000 0.3078
Pb 0.1549 0.0000 0.6922
Pb 0.1922 0.5000 0.3451
Pb 0.1922 0.5000 0.6549
Pb 0.3078 0.1549 0.0000
Pb 0.3078 0.8451 0.0000
Pb 0.3451 0.1922 0.5000
Pb 0.3451 0.8078 0.5000
Pb 0.5000 0.3451 0.1922
Pb 0.5000 0.3451 0.8078
Pb 0.5000 0.5000 0.5000
Pb 0.5000 0.6549 0.1922
Pb 0.5000 0.6549 0.8078
Pb 0.6549 0.1922 0.5000
Pb 0.6549 0.8078 0.5000
Pb 0.6922 0.1549 0.0000
Pb 0.6922 0.8451 0.0000
Pb 0.8078 0.5000 0.3451
Pb 0.8078 0.5000 0.6549
Pb 0.8451 0.0000 0.3078
Pb 0.8451 0.0000 0.6922

Principal peaks in the range 2θ = 10–90°, most intense first:
- d 2.832, 31.60 deg, intensity 100
- d 2.729, 32.82 deg, intensity 37
- d 2.084, 43.42 deg, intensity 20
- d 1.656, 55.48 deg, intensity 18
- d 2.476, 36.28 deg, intensity 17
- d 1.751, 52.24 deg, intensity 15
- d 1.459, 63.82 deg, intensity 15
- d 2.552, 35.16 deg, intensity 13
- d 3.229, 27.63 deg, intensity 11
- d 1.595, 57.83 deg, intensity 10

---

Record 2
Starting from a structure optimized by DFT (PBE), the X-ray diffraction stick pattern of La2PbS4 was computed for CuKα.

Atomic structure:
Lattice parameters (Å, degrees): 7.6323 7.6323 7.6323 109.34 109.34 109.74
Positions (direct):
La 0.0097 0.6250 0.8847
La 0.3750 0.2597 0.3847
La 0.7403 0.1250 0.1153
La 0.8750 0.9903 0.6153
Pb 0.2500 0.7500 0.5000
Pb 0.5000 0.5000 0.0000
S 0.1145 0.3671 0.5982
S 0.1171 0.3645 0.0982
S 0.2663 0.0189 0.9018
S 0.4837 0.8855 0.2526
S 0.6329 0.2311 0.7474
S 0.6355 0.7337 0.7526
S 0.7689 0.5163 0.4018
S 0.9811 0.8829 0.2474

Principal peaks in the range 2θ = 10–90°, most intense first:
- d 3.598, 24.75 deg, intensity 100
- d 2.791, 32.07 deg, intensity 55
- d 2.357, 38.19 deg, intensity 43
- d 2.779, 32.21 deg, intensity 31
- d 1.879, 48.45 deg, intensity 25
- d 1.730, 52.93 deg, intensity 23
- d 1.431, 65.18 deg, intensity 22
- d 1.973, 46.00 deg, intensity 22
- d 1.201, 79.89 deg, intensity 16
- d 1.966, 46.17 deg, intensity 16